(1)
# NaInGeP2SO12
Simulated X-ray diffraction stick pattern, Cu Kα, 1.54184 Å. Input: a cell relaxed with GGA-PBE.
Neutral-atom scattering factors, no anomalous dispersion.

The 6 most intense peaks (5 to 70 degrees two-theta), in order of rising 2θ:
2theta	intensity
19.7	85.9
20.5	100.0
20.6	52.0
23.9	92.1
28.8	55.3
31.7	57.8

Crystal structure
a = 8.6828 Å, b = 8.6828 Å, c = 8.9198 Å
α = 118.27°, β = 118.27°, γ = 59.48°
Sites, in units of the cell vectors:
Na  0.2363  0.7637  0.5000
Na  0.7637  0.2363  0.0000
In  0.0911  0.6062  0.0641
In  0.6062  0.0911  0.5641
Ge  0.3920  0.8904  0.9440
Ge  0.8904  0.3920  0.4440
P  0.0100  0.2006  0.7547
P  0.2006  0.0100  0.2547
P  0.6949  0.7824  0.7544
P  0.7824  0.6949  0.2544
S  0.2823  0.5099  0.7511
S  0.5099  0.2823  0.2511
O  0.0169  0.1922  0.2693
O  0.0411  0.3594  0.9227
O  0.1196  0.4812  0.5893
O  0.1713  0.8425  0.2388
O  0.1922  0.0169  0.7693
O  0.2309  0.9832  0.0799
O  0.2684  0.5310  0.9171
O  0.2875  0.6864  0.7632
O  0.3549  0.4630  0.2352
O  0.3594  0.0411  0.4227
O  0.4630  0.3549  0.7352
O  0.4812  0.1196  0.0893
O  0.5203  0.7871  0.7731
O  0.5310  0.2684  0.4171
O  0.6067  0.7318  0.0839
O  0.6453  0.9717  0.7391
O  0.6864  0.2875  0.2632
O  0.7318  0.6067  0.5839
O  0.7713  0.8591  0.4219
O  0.7871  0.5203  0.2731
O  0.8425  0.1713  0.7388
O  0.8591  0.7713  0.9219
O  0.9717  0.6453  0.2391
O  0.9832  0.2309  0.5799


(2)
# K3Tb
Simulated X-ray diffraction stick pattern, Cu Kα, 1.54184 Å. Input: a cell relaxed with GGA-PBE.
Neutral-atom scattering factors, no anomalous dispersion.

The 6 most intense peaks (5 to 70 degrees two-theta), in order of rising 2θ:
2theta	intensity
17.2	44.9
23.8	22.9
25.0	26.9
26.9	100.0
45.3	22.9
49.4	23.3

Crystal structure
a = 8.6384 Å, b = 8.6384 Å, c = 7.1098 Å
α = 90.00°, β = 90.00°, γ = 120.00°
Sites, in units of the cell vectors:
K  0.1713  0.3427  0.2500
K  0.1713  0.8287  0.2500
K  0.3427  0.1713  0.7500
K  0.6573  0.8287  0.2500
K  0.8287  0.1713  0.7500
K  0.8287  0.6573  0.7500
Tb  0.3333  0.6667  0.7500
Tb  0.6667  0.3333  0.2500


(3)
# ThCu2Ge2
Simulated X-ray diffraction stick pattern, Cu Kα, 1.54184 Å. Input: a cell relaxed with GGA-PBE.
Neutral-atom scattering factors, no anomalous dispersion.

The 6 most intense peaks (5 to 70 degrees two-theta), in order of rising 2θ:
2theta	intensity
30.1	30.8
34.1	87.3
35.1	100.0
43.1	55.8
50.0	30.9
56.1	42.7

Crystal structure
a = 4.1963 Å, b = 4.1963 Å, c = 10.1230 Å
α = 90.00°, β = 90.00°, γ = 90.00°
Sites, in units of the cell vectors:
Th  0.0000  0.0000  0.0000
Th  0.5000  0.5000  0.5000
Cu  0.0000  0.5000  0.2500
Cu  0.0000  0.5000  0.7500
Cu  0.5000  0.0000  0.2500
Cu  0.5000  0.0000  0.7500
Ge  0.0000  0.0000  0.3760
Ge  0.0000  0.0000  0.6240
Ge  0.5000  0.5000  0.1240
Ge  0.5000  0.5000  0.8760


(4)
# Eu2MgIn
Simulated X-ray diffraction stick pattern, Cu Kα, 1.54184 Å. Input: a cell relaxed with GGA-PBE.
Neutral-atom scattering factors, no anomalous dispersion.

The 6 most intense peaks (5 to 70 degrees two-theta), in order of rising 2θ:
2theta	intensity
19.1	9.3
22.0	15.2
31.4	100.0
45.0	18.4
55.8	38.3
65.5	11.8

Crystal structure
a = 8.0651 Å, b = 8.0651 Å, c = 8.0651 Å
α = 90.00°, β = 90.00°, γ = 90.00°
Sites, in units of the cell vectors:
Eu  0.2500  0.2500  0.2500
Eu  0.2500  0.2500  0.7500
Eu  0.2500  0.7500  0.2500
Eu  0.2500  0.7500  0.7500
Eu  0.7500  0.2500  0.2500
Eu  0.7500  0.2500  0.7500
Eu  0.7500  0.7500  0.2500
Eu  0.7500  0.7500  0.7500
Mg  0.0000  0.0000  0.0000
Mg  0.0000  0.5000  0.5000
Mg  0.5000  0.0000  0.5000
Mg  0.5000  0.5000  0.0000
In  0.0000  0.0000  0.5000
In  0.0000  0.5000  0.0000
In  0.5000  0.0000  0.0000
In  0.5000  0.5000  0.5000


(5)
# Li3W
Simulated X-ray diffraction stick pattern, Cu Kα, 1.54184 Å. Input: a cell relaxed with GGA-PBE.
Neutral-atom scattering factors, no anomalous dispersion.

The 6 most intense peaks (5 to 70 degrees two-theta), in order of rising 2θ:
2theta	intensity
20.2	43.2
25.4	100.0
33.2	25.5
38.8	33.5
39.2	40.6
54.7	25.0

Crystal structure
a = 3.8196 Å, b = 3.8196 Å, c = 8.7796 Å
α = 90.00°, β = 90.00°, γ = 90.00°
Sites, in units of the cell vectors:
Li  0.0000  0.0000  0.0000
Li  0.0000  0.5000  0.2500
Li  0.0000  0.5000  0.7500
Li  0.5000  0.0000  0.2500
Li  0.5000  0.0000  0.7500
Li  0.5000  0.5000  0.5000
W  0.0000  0.0000  0.5000
W  0.5000  0.5000  0.0000


(6)
# Cd3H6C2I6N2O2
Simulated X-ray diffraction stick pattern, Cu Kα, 1.54184 Å. Input: a cell relaxed with GGA-PBE.
Neutral-atom scattering factors, no anomalous dispersion.

The 6 most intense peaks (5 to 70 degrees two-theta), in order of rising 2θ:
2theta	intensity
8.2	100.0
12.4	38.7
25.1	43.0
26.2	31.9
27.0	51.1
34.1	36.9

Crystal structure
a = 14.1980 Å, b = 16.6006 Å, c = 4.3135 Å
α = 90.00°, β = 90.00°, γ = 90.00°
Sites, in units of the cell vectors:
Cd  0.0000  0.0000  0.0000
Cd  0.2371  0.1115  0.4773
Cd  0.2629  0.6115  0.9773
Cd  0.5000  0.5000  0.5000
Cd  0.7371  0.3885  0.9773
Cd  0.7629  0.8885  0.4773
H  0.0515  0.6952  0.8588
H  0.0778  0.4457  0.9227
H  0.1066  0.3427  0.8999
H  0.3934  0.8427  0.3999
H  0.4222  0.9457  0.4227
H  0.4485  0.1952  0.3588
H  0.5515  0.8048  0.3588
H  0.5778  0.0543  0.4227
H  0.6066  0.1573  0.3999
H  0.8934  0.6573  0.8999
H  0.9222  0.5543  0.9227
H  0.9485  0.3048  0.8588
C  0.0344  0.6307  0.8900
C  0.4656  0.1307  0.3900
C  0.5344  0.8693  0.3900
C  0.9656  0.3693  0.8900
I  0.0229  0.1257  0.4998
I  0.2128  0.9820  0.9900
I  0.2390  0.7318  0.4628
I  0.2610  0.2318  0.9628
I  0.2872  0.4820  0.4900
I  0.4771  0.6257  0.9998
I  0.5229  0.3743  0.9998
I  0.7128  0.5180  0.4900
I  0.7390  0.7682  0.9628
I  0.7610  0.2682  0.4628
I  0.7872  0.0180  0.9900
I  0.9771  0.8743  0.4998
N  0.0567  0.3869  0.9032
N  0.4433  0.8869  0.4032
N  0.5567  0.1131  0.4032
N  0.9433  0.6131  0.9032
O  0.0985  0.5784  0.9082
O  0.4015  0.0784  0.4082
O  0.5985  0.9216  0.4082
O  0.9015  0.4216  0.9082